Entry 1:
This entry pairs a crystal structure of NaCdF3 with its calculated powder diffractogram. Radiation: Cu Kα, 1.54184 Å. Structure: a cell relaxed with GGA-PBE.
Peak positions follow from Bragg's law for the DFT cell and can differ from measured ones.

Main lines, sorted by position (10° ≤ 2θ ≤ 80°):
4.223 Å, rel. 100; 3.062 Å, rel. 65; 2.916 Å, rel. 48; 2.112 Å, rel. 32; 1.927 Å, rel. 44; 1.710 Å, rel. 28

Structure:
```
data_NaCdF3
_cell_length_a 5.8318
_cell_length_b 5.8318
_cell_length_c 15.4004
_cell_angle_alpha 90.00
_cell_angle_beta 90.00
_cell_angle_gamma 120.00
_symmetry_space_group_name_H-M 'R 3 c'
_symmetry_Int_Tables_number 161
_symmetry_space_group_name_Hall 'R 3 -2"c'
loop_
_atom_site_label
_atom_site_type_symbol
_atom_site_fract_x
_atom_site_fract_y
_atom_site_fract_z
Na1 Na 0.0000 0.0000 0.0000
Cd1 Cd 0.0000 0.0000 0.2105
F1 F 0.0451 0.3617 0.2773
```



Entry 2:
This entry pairs a crystal structure of Mn10FeN8 with its calculated powder diffractogram. Radiation: Cu Kα, 1.54184 Å. Structure: a cell relaxed with GGA-PBE.
Peak positions follow from Bragg's law for the DFT cell and can differ from measured ones.

Main lines, sorted by position (10° ≤ 2θ ≤ 80°):
2.403 Å, rel. 47; 2.326 Å, rel. 100; 2.319 Å, rel. 72; 1.973 Å, rel. 53; 1.790 Å, rel. 34; 1.326 Å, rel. 22

Structure:
```
data_Mn10FeN8
_cell_length_a 16.0720
_cell_length_b 3.9460
_cell_length_c 7.1615
_cell_angle_alpha 90.00
_cell_angle_beta 116.21
_cell_angle_gamma 90.00
_symmetry_space_group_name_H-M 'C 1 2/m 1'
_symmetry_Int_Tables_number 12
_symmetry_space_group_name_Hall '-C 2y'
loop_
_atom_site_label
_atom_site_type_symbol
_atom_site_fract_x
_atom_site_fract_y
_atom_site_fract_z
Mn1 Mn 0.0025 0.0000 0.2363
Mn2 Mn 0.1324 0.5000 0.9027
Mn3 Mn 0.1377 0.5000 0.3752
Mn4 Mn 0.1660 0.0000 0.6706
Mn5 Mn 0.1950 0.0000 0.1952
Fe1 Fe 0.0000 0.5000 0.5000
N1 N 0.0027 0.5000 0.2361
N2 N 0.1345 0.0000 0.9085
N3 N 0.1404 0.0000 0.3733
N4 N 0.1768 0.5000 0.6823
```



Entry 3:
This entry pairs a crystal structure of LaY9Si8 with its calculated powder diffractogram. Radiation: Cu Kα, 1.54184 Å. Structure: a cell relaxed with GGA-PBE.
Peak positions follow from Bragg's law for the DFT cell and can differ from measured ones.

Main lines, sorted by position (10° ≤ 2θ ≤ 80°):
3.284 Å, rel. 36; 2.808 Å, rel. 36; 2.777 Å, rel. 100; 2.675 Å, rel. 36; 2.647 Å, rel. 38; 2.374 Å, rel. 38

Structure:
```
data_LaY9Si8
_cell_length_a 7.7419
_cell_length_b 7.4838
_cell_length_c 14.7124
_cell_angle_alpha 90.00
_cell_angle_beta 90.36
_cell_angle_gamma 90.00
_symmetry_space_group_name_H-M 'P 1 21 1'
_symmetry_Int_Tables_number 4
_symmetry_space_group_name_Hall 'P 2yb'
loop_
_atom_site_label
_atom_site_type_symbol
_atom_site_fract_x
_atom_site_fract_y
_atom_site_fract_z
La1 La 0.0719 0.0000 0.1568
Y1 Y 0.0661 0.0040 0.8490
Y2 Y 0.0685 0.2977 0.3738
Y3 Y 0.0726 0.2944 0.6254
Y4 Y 0.2377 0.3248 0.0000
Y5 Y 0.2623 0.6256 0.4999
Y6 Y 0.4303 0.6562 0.1276
Y7 Y 0.4296 0.6573 0.8706
Y8 Y 0.4343 0.9486 0.6492
Y9 Y 0.4346 0.9457 0.3518
Si1 Si 0.1276 0.7085 0.9985
Si2 Si 0.1473 0.9991 0.4999
Si3 Si 0.2219 0.6251 0.2916
Si4 Si 0.2279 0.6211 0.7060
Si5 Si 0.2805 0.3370 0.2120
Si6 Si 0.2841 0.3283 0.7866
Si7 Si 0.3596 0.9505 0.9989
Si8 Si 0.3760 0.2434 0.4999
```



Entry 4:
This entry pairs a crystal structure of TiH2O2 with its calculated powder diffractogram. Radiation: Cu Kα, 1.54184 Å. Structure: a cell relaxed with GGA-PBE.
Peak positions follow from Bragg's law for the DFT cell and can differ from measured ones.

Main lines, sorted by position (10° ≤ 2θ ≤ 80°):
3.704 Å, rel. 100; 2.708 Å, rel. 47; 2.367 Å, rel. 18; 1.922 Å, rel. 60; 1.852 Å, rel. 18; 1.810 Å, rel. 26

Structure:
```
data_TiH2O2
_cell_length_a 4.8683
_cell_length_b 5.7068
_cell_length_c 3.0767
_cell_angle_alpha 90.00
_cell_angle_beta 90.00
_cell_angle_gamma 90.00
_symmetry_space_group_name_H-M 'P n n m'
_symmetry_Int_Tables_number 58
_symmetry_space_group_name_Hall '-P 2 2n'
loop_
_atom_site_label
_atom_site_type_symbol
_atom_site_fract_x
_atom_site_fract_y
_atom_site_fract_z
Ti1 Ti 0.0000 0.0000 0.0000
H1 H 0.0220 0.3439 0.5000
O1 O 0.1460 0.7528 0.5000
```



Entry 5:
This entry pairs a crystal structure of Ba4Zn2CuGe20 with its calculated powder diffractogram. Radiation: Cu Kα, 1.54184 Å. Structure: a cell relaxed with GGA-PBE.
Peak positions follow from Bragg's law for the DFT cell and can differ from measured ones.

Main lines, sorted by position (10° ≤ 2θ ≤ 80°):
3.137 Å, rel. 27; 3.014 Å, rel. 40; 2.905 Å, rel. 100; 1.864 Å, rel. 35; 1.811 Å, rel. 22; 1.763 Å, rel. 44

Structure:
```
data_Ba4Zn2CuGe20
_cell_length_a 10.8724
_cell_length_b 15.3673
_cell_length_c 15.3683
_cell_angle_alpha 90.00
_cell_angle_beta 90.00
_cell_angle_gamma 90.00
_symmetry_space_group_name_H-M 'A m a 2'
_symmetry_Int_Tables_number 40
_symmetry_space_group_name_Hall 'A 2 -2a'
loop_
_atom_site_label
_atom_site_type_symbol
_atom_site_fract_x
_atom_site_fract_y
_atom_site_fract_z
Ba1 Ba 0.0000 0.0000 0.0000
Ba2 Ba 0.2500 0.1250 0.3716
Ba3 Ba 0.2500 0.2505 0.7483
Ba4 Ba 0.2500 0.3733 0.1234
Zn1 Zn 0.0000 0.0000 0.4985
Zn2 Zn 0.2500 0.3752 0.3734
Cu1 Cu 0.2500 0.1250 0.1233
Ge1 Ge 0.0603 0.3084 0.3068
Ge2 Ge 0.0663 0.0663 0.7483
Ge3 Ge 0.0663 0.1892 0.1875
Ge4 Ge 0.0660 0.2498 0.5650
Ge5 Ge 0.0664 0.2496 0.9319
Ge6 Ge 0.0662 0.4332 0.7482
Ge7 Ge 0.1319 0.0946 0.5930
Ge8 Ge 0.1315 0.4054 0.9037
Ge9 Ge 0.2500 0.0366 0.8451
Ge10 Ge 0.2500 0.1525 0.9672
Ge11 Ge 0.2500 0.3465 0.5347
Ge12 Ge 0.2500 0.4690 0.6511
```



Entry 6:
This entry pairs a crystal structure of IrSe3Br9 with its calculated powder diffractogram. Radiation: Cu Kα, 1.54184 Å. Structure: a cell relaxed with GGA-PBE.
Peak positions follow from Bragg's law for the DFT cell and can differ from measured ones.

Main lines, sorted by position (10° ≤ 2θ ≤ 80°):
7.311 Å, rel. 56; 6.898 Å, rel. 100; 6.689 Å, rel. 50; 6.572 Å, rel. 69; 3.075 Å, rel. 51; 2.942 Å, rel. 44

Structure:
```
data_IrSe3Br9
_cell_length_a 8.1514
_cell_length_b 8.6711
_cell_length_c 13.9295
_cell_angle_alpha 81.93
_cell_angle_beta 85.93
_cell_angle_gamma 68.12
_symmetry_space_group_name_H-M 'P -1'
_symmetry_Int_Tables_number 2
_symmetry_space_group_name_Hall '-P 1'
loop_
_atom_site_label
_atom_site_type_symbol
_atom_site_fract_x
_atom_site_fract_y
_atom_site_fract_z
Ir1 Ir 0.2256 0.2793 0.2503
Se1 Se 0.3493 0.3519 0.3815
Se2 Se 0.3603 0.4197 0.1270
Se3 Se 0.4564 0.0024 0.2489
Br1 Br 0.0705 0.4872 0.7541
Br2 Br 0.1210 0.1282 0.1370
Br3 Br 0.1341 0.1029 0.3946
Br4 Br 0.1652 0.6153 0.4295
Br5 Br 0.2429 0.7134 0.1428
Br6 Br 0.2448 0.4381 0.9715
Br7 Br 0.3431 0.0537 0.6205
Br8 Br 0.3507 0.9855 0.8869
Br9 Br 0.3950 0.5856 0.6819
```



Entry 7:
This entry pairs a crystal structure of Te2MoW3S6 with its calculated powder diffractogram. Radiation: Cu Kα, 1.54184 Å. Structure: a cell relaxed with GGA-PBE.
Peak positions follow from Bragg's law for the DFT cell and can differ from measured ones.

Main lines, sorted by position (10° ≤ 2θ ≤ 80°):
7.442 Å, rel. 100; 6.201 Å, rel. 27; 2.832 Å, rel. 31; 2.420 Å, rel. 67; 2.014 Å, rel. 32; 1.636 Å, rel. 21

Structure:
```
data_Te2MoW3S6
_cell_length_a 3.2720
_cell_length_b 3.2720
_cell_length_c 37.2078
_cell_angle_alpha 90.00
_cell_angle_beta 90.00
_cell_angle_gamma 120.00
_symmetry_space_group_name_H-M 'P 3 m 1'
_symmetry_Int_Tables_number 156
_symmetry_space_group_name_Hall 'P 3 -2"'
loop_
_atom_site_label
_atom_site_type_symbol
_atom_site_fract_x
_atom_site_fract_y
_atom_site_fract_z
Te1 Te 0.0000 0.0000 0.0000
Te2 Te 0.0000 0.0000 0.1043
Mo1 Mo 0.0000 0.0000 0.4885
W1 W 0.0000 0.0000 0.8642
W2 W 0.3333 0.6667 0.0522
W3 W 0.3333 0.6667 0.6764
S1 S 0.0000 0.0000 0.6348
S2 S 0.0000 0.0000 0.7179
S3 S 0.3333 0.6667 0.4472
S4 S 0.3333 0.6667 0.5298
S5 S 0.3333 0.6667 0.8227
S6 S 0.3333 0.6667 0.9057
```



Entry 8:
This entry pairs a crystal structure of BaRhO3 with its calculated powder diffractogram. Radiation: Cu Kα, 1.54184 Å. Structure: a cell relaxed with GGA-PBE.
Peak positions follow from Bragg's law for the DFT cell and can differ from measured ones.

Main lines, sorted by position (10° ≤ 2θ ≤ 80°):
3.519 Å, rel. 44; 2.915 Å, rel. 100; 2.745 Å, rel. 54; 2.245 Å, rel. 31; 1.998 Å, rel. 32; 1.648 Å, rel. 25

Structure:
```
data_BaRhO3
_cell_length_a 5.8303
_cell_length_b 5.8303
_cell_length_c 9.8115
_cell_angle_alpha 90.00
_cell_angle_beta 90.00
_cell_angle_gamma 120.00
_symmetry_space_group_name_H-M 'P 63/m m c'
_symmetry_Int_Tables_number 194
_symmetry_space_group_name_Hall '-P 6c 2c'
loop_
_atom_site_label
_atom_site_type_symbol
_atom_site_fract_x
_atom_site_fract_y
_atom_site_fract_z
Ba1 Ba 0.0000 0.0000 0.0000
Ba2 Ba 0.3333 0.6667 0.2500
Rh1 Rh 0.3333 0.6667 0.6137
O1 O 0.0000 0.5000 0.0000
O2 O 0.1826 0.3651 0.7500
```